(1)
Simulated X-ray powder pattern of Sr3TmS4 for Cu Ka, from a structure optimized by DFT (GGA-PBE).
No peak broadening, texture or thermal motion is included.

Most intense lines, 2θ from 15° to 90°, low angle first:
2θ (°)	I_rel
26.23	40.3
26.40	13.1
30.43	100.0
43.41	23.9
43.58	23.8
43.70	23.8
51.52	14.4
54.02	12.3
63.31	11.3
71.99	10.3

Structural model:
```
data_Sr3TmS4
_space_group_name_H-M_alt 'P 1 2/c 1'
_space_group_IT_number 13
_space_group_name_Hall '-P 2yc'
_cell_length_a 7.227
_cell_length_b 8.316
_cell_length_c 7.166
_cell_angle_alpha 90.00
_cell_angle_beta 109.59
_cell_angle_gamma 90.00
loop_
_atom_site_label
_atom_site_type_symbol
_atom_site_fract_x
_atom_site_fract_y
_atom_site_fract_z
_atom_site_occupancy
Sr1 Sr 0.000 0.124 0.250 1
Sr2 Sr 0.000 0.375 0.750 1
Sr3 Sr 0.500 0.375 0.250 1
Tm1 Tm 0.500 0.123 0.750 1
S1 S 0.261 0.361 0.514 1
S2 S 0.272 0.114 0.998 1
```

(2)
Simulated X-ray powder pattern of SrUS4 for Cu Ka, from a structure optimized by DFT (GGA-PBE).
No peak broadening, texture or thermal motion is included.

Most intense lines, 2θ from 15° to 90°, low angle first:
2θ (°)	I_rel
19.00	81.3
19.58	63.2
25.38	100.0
27.41	24.8
28.70	29.6
37.39	68.7
38.01	46.1
39.76	19.8
44.43	25.3
47.24	41.9

Structural model:
```
data_SrUS4
_space_group_name_H-M_alt 'C m m m'
_space_group_IT_number 65
_space_group_name_Hall '-C 2 2'
_cell_length_a 9.069
_cell_length_b 9.342
_cell_length_c 4.168
_cell_angle_alpha 90.00
_cell_angle_beta 90.00
_cell_angle_gamma 90.00
loop_
_atom_site_label
_atom_site_type_symbol
_atom_site_fract_x
_atom_site_fract_y
_atom_site_fract_z
_atom_site_occupancy
Sr1 Sr 0.000 0.000 0.000 1
U1 U 0.000 0.500 0.500 1
S1 S 0.000 0.329 0.000 1
S2 S 0.228 0.000 0.500 1
```

(3)
Simulated X-ray powder pattern of Sr2US6 for Cu Ka, from a structure optimized by DFT (GGA-PBE).
No peak broadening, texture or thermal motion is included.

Most intense lines, 2θ from 15° to 90°, low angle first:
2θ (°)	I_rel
15.47	94.2
19.95	74.9
20.55	67.0
24.71	62.8
24.97	35.4
26.41	100.0
32.01	71.7
33.08	35.1
36.77	56.6
39.45	39.5

Structural model:
```
data_Sr2US6
_space_group_name_H-M_alt 'P 1 21/c 1'
_space_group_IT_number 14
_space_group_name_Hall '-P 2ybc'
_cell_length_a 7.387
_cell_length_b 8.644
_cell_length_c 8.945
_cell_angle_alpha 90.00
_cell_angle_beta 121.25
_cell_angle_gamma 90.00
loop_
_atom_site_label
_atom_site_type_symbol
_atom_site_fract_x
_atom_site_fract_y
_atom_site_fract_z
_atom_site_occupancy
Sr1 Sr 0.201 0.075 0.284 1
U1 U 0.500 0.000 0.000 1
S1 S 0.158 0.135 0.936 1
S2 S 0.342 0.739 0.002 1
S3 S 0.369 0.508 0.171 1
```

(4)
Simulated X-ray powder pattern of SrUS3 for Cu Ka, from a structure optimized by DFT (GGA-PBE).
No peak broadening, texture or thermal motion is included.

Most intense lines, 2θ from 15° to 90°, low angle first:
2θ (°)	I_rel
23.81	26.4
25.37	100.0
25.56	41.7
26.40	26.0
27.55	30.8
34.37	25.9
37.92	26.6
43.54	26.2
45.97	32.7
69.22	26.2

Structural model:
```
data_SrUS3
_space_group_name_H-M_alt 'P n m a'
_space_group_IT_number 62
_space_group_name_Hall '-P 2ac 2n'
_cell_length_a 7.474
_cell_length_b 4.111
_cell_length_c 15.759
_cell_angle_alpha 90.00
_cell_angle_beta 90.00
_cell_angle_gamma 90.00
loop_
_atom_site_label
_atom_site_type_symbol
_atom_site_fract_x
_atom_site_fract_y
_atom_site_fract_z
_atom_site_occupancy
Sr1 Sr 0.125 0.250 0.205 1
U1 U 0.234 0.750 0.459 1
S1 S 0.012 0.250 0.407 1
S2 S 0.129 0.750 0.053 1
S3 S 0.169 0.250 0.794 1
```

(5)
Simulated X-ray powder pattern of Sr3US6 for Cu Ka, from a structure optimized by DFT (GGA-PBE).
No peak broadening, texture or thermal motion is included.

Most intense lines, 2θ from 15° to 90°, low angle first:
2θ (°)	I_rel
15.26	100.0
21.59	16.5
24.24	17.8
26.45	59.1
30.82	17.1
34.38	33.6
34.52	28.8
36.16	28.8
41.24	21.4
46.80	16.7

Structural model:
```
data_Sr3US6
_space_group_name_H-M_alt 'R -3 c'
_space_group_IT_number 167
_space_group_name_Hall '-R 3 2"c'
_cell_length_a 11.6815
_cell_length_b 11.6815
_cell_length_c 14.1687
_cell_angle_alpha 90.00
_cell_angle_beta 90.00
_cell_angle_gamma 120.00
loop_
_atom_site_label
_atom_site_type_symbol
_atom_site_fract_x
_atom_site_fract_y
_atom_site_fract_z
_atom_site_occupancy
Sr1 Sr 0.0000 0.3679 0.2500 1
U1 U 0.0000 0.0000 0.0000 1
S1 S 0.0297 0.1935 0.3982 1
```

(6)
Simulated X-ray powder pattern of SrW4S8 for Cu Ka, from a structure optimized by DFT (GGA-PBE).
No peak broadening, texture or thermal motion is included.

Most intense lines, 2θ from 15° to 90°, low angle first:
2θ (°)	I_rel
15.36	100.0
23.30	43.3
23.90	37.7
31.72	88.4
32.08	45.1
40.36	72.1
40.93	34.4
42.39	76.8
44.03	57.1
55.23	56.9

Structural model:
```
data_SrW4S8
_space_group_name_H-M_alt 'C 1 2/m 1'
_space_group_IT_number 12
_space_group_name_Hall '-C 2y'
_cell_length_a 16.504
_cell_length_b 3.325
_cell_length_c 11.551
_cell_angle_alpha 90.00
_cell_angle_beta 131.59
_cell_angle_gamma 90.00
loop_
_atom_site_label
_atom_site_type_symbol
_atom_site_fract_x
_atom_site_fract_y
_atom_site_fract_z
_atom_site_occupancy
Sr1 Sr 0.000 0.000 0.000 1
W1 W 0.168 0.000 0.478 1
W2 W 0.187 0.500 0.863 1
S1 S 0.043 0.000 0.741 1
S2 S 0.136 0.500 0.598 1
S3 S 0.143 0.500 0.302 1
S4 S 0.179 0.500 0.062 1
```

(7)
Simulated X-ray powder pattern of TaS for Cu Ka, from a structure optimized by DFT (GGA-PBE).
No peak broadening, texture or thermal motion is included.

Most intense lines, 2θ from 15° to 90°, low angle first:
2θ (°)	I_rel
27.97	81.4
31.94	37.0
36.15	59.8
41.63	100.0
49.00	33.2
55.21	24.6
63.01	17.7
65.22	19.6
67.79	19.4
76.90	17.6

Structural model:
```
data_TaS
_space_group_name_H-M_alt 'I 41 m d'
_space_group_IT_number 109
_space_group_name_Hall 'I 4bw -2'
_cell_length_a 3.328
_cell_length_b 3.328
_cell_length_c 11.208
_cell_angle_alpha 90.00
_cell_angle_beta 90.00
_cell_angle_gamma 90.00
loop_
_atom_site_label
_atom_site_type_symbol
_atom_site_fract_x
_atom_site_fract_y
_atom_site_fract_z
_atom_site_occupancy
Ta1 Ta 0.000 0.000 0.000 1
S1 S 0.000 0.000 0.422 1
```

(8)
Simulated X-ray powder pattern of Ta6S for Cu Ka, from a structure optimized by DFT (GGA-PBE).
No peak broadening, texture or thermal motion is included.

Most intense lines, 2θ from 15° to 90°, low angle first:
2θ (°)	I_rel
34.37	44.4
35.88	40.4
36.11	49.9
36.63	60.1
37.28	48.6
37.70	62.4
38.05	57.5
38.28	100.0
39.02	73.0
40.79	43.2

Structural model:
```
data_Ta6S
_space_group_name_H-M_alt 'P -1'
_space_group_IT_number 2
_space_group_name_Hall '-P 1'
_cell_length_a 5.280
_cell_length_b 7.573
_cell_length_c 7.576
_cell_angle_alpha 113.86
_cell_angle_beta 109.09
_cell_angle_gamma 98.26
loop_
_atom_site_label
_atom_site_type_symbol
_atom_site_fract_x
_atom_site_fract_y
_atom_site_fract_z
_atom_site_occupancy
Ta1 Ta 0.000 0.000 0.000 1
Ta2 Ta 0.002 0.295 0.371 1
Ta3 Ta 0.149 0.150 0.721 1
Ta4 Ta 0.230 0.691 0.064 1
Ta5 Ta 0.440 0.409 0.226 1
Ta6 Ta 0.471 0.136 0.424 1
Ta7 Ta 0.500 0.000 0.000 1
S1 S 0.076 0.585 0.301 1
```

(9)
Simulated X-ray powder pattern of Ta5S2 for Cu Ka, from a structure optimized by DFT (GGA-PBE).
No peak broadening, texture or thermal motion is included.

Most intense lines, 2θ from 15° to 90°, low angle first:
2θ (°)	I_rel
33.07	20.4
34.44	69.1
35.44	100.0
36.46	47.5
37.33	19.1
37.74	23.1
39.16	52.2
40.23	25.3
42.35	38.4
65.39	19.2

Structural model:
```
data_Ta5S2
_space_group_name_H-M_alt 'C 1 2/c 1'
_space_group_IT_number 15
_space_group_name_Hall '-C 2yc'
_cell_length_a 14.089
_cell_length_b 5.874
_cell_length_c 5.657
_cell_angle_alpha 90.00
_cell_angle_beta 95.21
_cell_angle_gamma 90.00
loop_
_atom_site_label
_atom_site_type_symbol
_atom_site_fract_x
_atom_site_fract_y
_atom_site_fract_z
_atom_site_occupancy
Ta1 Ta 0.000 0.107 0.250 1
Ta2 Ta 0.094 0.455 0.927 1
Ta3 Ta 0.226 0.156 0.259 1
S1 S 0.117 0.156 0.612 1
```

(10)
Simulated X-ray powder pattern of TaS2 for Cu Ka, from a structure optimized by DFT (GGA-PBE).
No peak broadening, texture or thermal motion is included.

Most intense lines, 2θ from 15° to 90°, low angle first:
2θ (°)	I_rel
24.52	17.2
31.53	100.0
33.33	20.2
36.17	69.5
39.84	48.6
44.18	40.0
49.07	19.9
54.42	21.8
54.96	25.3
56.53	29.9

Structural model:
```
data_TaS2
_space_group_name_H-M_alt 'P 63/m m c'
_space_group_IT_number 194
_space_group_name_Hall '-P 6c 2c'
_cell_length_a 3.3412
_cell_length_b 3.3412
_cell_length_c 14.5231
_cell_angle_alpha 90.00
_cell_angle_beta 90.00
_cell_angle_gamma 120.00
loop_
_atom_site_label
_atom_site_type_symbol
_atom_site_fract_x
_atom_site_fract_y
_atom_site_fract_z
_atom_site_occupancy
Ta1 Ta 0.3333 0.6667 0.2500 1
S1 S 0.0000 0.0000 0.1423 1
```